Starting from the PBE geometry in Alexandria, the powder XRD pattern of PrLuRuAu was calculated for Cu Kα, 1.54184 Å.
Kinematic intensities with the Lorentz-polarization factor, no thermal factor.

Crystal structure
```
data_PrLuRuAu
_cell_length_a 5.0110
_cell_length_b 5.0110
_cell_length_c 5.0110
_cell_angle_alpha 60.00
_cell_angle_beta 60.00
_cell_angle_gamma 60.00
_space_group_name_H-M_alt 'P 1'
_space_group_IT_number 1
loop_
_space_group_symop_operation_xyz
'x,y,z'
loop_
_atom_site_label
_atom_site_type_symbol
_atom_site_fract_x
_atom_site_fract_y
_atom_site_fract_z
_atom_site_occupancy
Pr1 Pr 0.0000 0.0000 0.0000 1
Lu1 Lu 0.5000 0.5000 0.5000 1
Ru1 Ru 0.7500 0.7500 0.7500 1
Au1 Au 0.2500 0.2500 0.2500 1
```

Principal peaks in the range 2θ from 5° to 70°, in order of rising 2θ:
21.72°, I 6
35.84°, I 100
42.30°, I 3
51.59°, I 18
56.61°, I 2
64.41°, I 36
68.84°, I 1

---

Starting from the PBE geometry in Alexandria, the powder XRD pattern of ErThOsI was calculated for Cu Kα, 1.54184 Å.
Kinematic intensities with the Lorentz-polarization factor, no thermal factor.

Crystal structure
```
data_ErThOsI
_cell_length_a 8.3947
_cell_length_b 8.3947
_cell_length_c 8.3947
_cell_angle_alpha 28.74
_cell_angle_beta 28.74
_cell_angle_gamma 28.74
_space_group_name_H-M_alt 'P 1'
_space_group_IT_number 1
loop_
_space_group_symop_operation_xyz
'x,y,z'
loop_
_atom_site_label
_atom_site_type_symbol
_atom_site_fract_x
_atom_site_fract_y
_atom_site_fract_z
_atom_site_occupancy
Er1 Er 0.0000 0.0000 0.0000 1
Th1 Th 0.2163 0.2163 0.2163 1
Os1 Os 0.6073 0.6073 0.6073 1
I1 I 0.7721 0.7721 0.7721 1
```

Principal peaks in the range 2θ from 5° to 70°, in order of rising 2θ:
11.00°, I 52
25.77°, I 29
28.83°, I 20
30.94°, I 100
36.03°, I 14
38.92°, I 23
43.43°, I 50
44.94°, I 11
45.21°, I 19
54.28°, I 21
55.69°, I 18
55.89°, I 10

---

Starting from the PBE geometry in Alexandria, the powder XRD pattern of Ce3Sm2Se8 was calculated for Cu Kα, 1.54184 Å.
Kinematic intensities with the Lorentz-polarization factor, no thermal factor.

Crystal structure
```
data_Ce3Sm2Se8
_cell_length_a 8.7399
_cell_length_b 8.7399
_cell_length_c 5.0082
_cell_angle_alpha 90.00
_cell_angle_beta 90.00
_cell_angle_gamma 109.34
_space_group_name_H-M_alt 'P 1'
_space_group_IT_number 1
loop_
_space_group_symop_operation_xyz
'x,y,z'
loop_
_atom_site_label
_atom_site_type_symbol
_atom_site_fract_x
_atom_site_fract_y
_atom_site_fract_z
_atom_site_occupancy
Ce1 Ce 0.0000 0.0000 0.0000 1
Ce2 Ce 0.2748 0.2748 0.5000 1
Ce3 Ce 0.7252 0.7252 0.5000 1
Sm1 Sm 0.2689 0.7311 0.0000 1
Sm2 Sm 0.7311 0.2689 0.0000 1
Se1 Se 0.1148 0.3626 0.0000 1
Se2 Se 0.1166 0.8834 0.5000 1
Se3 Se 0.3626 0.1148 0.0000 1
Se4 Se 0.3716 0.6284 0.5000 1
Se5 Se 0.6284 0.3716 0.5000 1
Se6 Se 0.6374 0.8852 0.0000 1
Se7 Se 0.8834 0.1166 0.5000 1
Se8 Se 0.8852 0.6374 0.0000 1
```

Principal peaks in the range 2θ from 5° to 70°, in order of rising 2θ:
21.55°, I 18
21.68°, I 20
32.58°, I 8
35.52°, I 25
35.65°, I 100
35.86°, I 27
42.02°, I 10
51.25°, I 8
51.37°, I 17
63.89°, I 22
64.13°, I 8
64.31°, I 18

---

Starting from the PBE geometry in Alexandria, the powder XRD pattern of Tb2Pr6Mg was calculated for Cu Kα, 1.54184 Å.
Kinematic intensities with the Lorentz-polarization factor, no thermal factor.

Crystal structure
```
data_Tb2Pr6Mg
_cell_length_a 10.8608
_cell_length_b 10.8608
_cell_length_c 5.1886
_cell_angle_alpha 90.00
_cell_angle_beta 90.00
_cell_angle_gamma 90.00
_space_group_name_H-M_alt 'P 1'
_space_group_IT_number 1
loop_
_space_group_symop_operation_xyz
'x,y,z'
loop_
_atom_site_label
_atom_site_type_symbol
_atom_site_fract_x
_atom_site_fract_y
_atom_site_fract_z
_atom_site_occupancy
Tb1 Tb 0.1698 0.1698 0.0000 1
Tb2 Tb 0.3302 0.6698 0.5000 1
Tb3 Tb 0.6698 0.3302 0.5000 1
Tb4 Tb 0.8302 0.8302 0.0000 1
Pr1 Pr 0.0021 0.3309 0.5000 1
Pr2 Pr 0.1613 0.8387 0.0000 1
Pr3 Pr 0.1691 0.5021 0.0000 1
Pr4 Pr 0.3309 0.0021 0.5000 1
Pr5 Pr 0.3387 0.3387 0.5000 1
Pr6 Pr 0.4979 0.8309 0.0000 1
Pr7 Pr 0.5021 0.1691 0.0000 1
Pr8 Pr 0.6613 0.6613 0.5000 1
Pr9 Pr 0.6691 0.9979 0.5000 1
Pr10 Pr 0.8309 0.4979 0.0000 1
Pr11 Pr 0.8387 0.1613 0.0000 1
Pr12 Pr 0.9979 0.6691 0.5000 1
Mg1 Mg 0.0000 0.0000 0.5000 1
Mg2 Mg 0.5000 0.5000 0.0000 1
```

Principal peaks in the range 2θ from 5° to 70°, in order of rising 2θ:
11.52°, I 3
16.32°, I 3
18.96°, I 4
25.11°, I 3
30.10°, I 100
34.57°, I 17
35.05°, I 33
50.06°, I 24
50.41°, I 12
59.21°, I 15
59.84°, I 28
62.57°, I 12

---

Starting from the PBE geometry in Alexandria, the powder XRD pattern of Co2RhCl6 was calculated for Cu Kα, 1.54184 Å.
Kinematic intensities with the Lorentz-polarization factor, no thermal factor.

Crystal structure
```
data_Co2RhCl6
_cell_length_a 8.0295
_cell_length_b 8.0295
_cell_length_c 6.4838
_cell_angle_alpha 98.08
_cell_angle_beta 98.08
_cell_angle_gamma 83.94
_space_group_name_H-M_alt 'P 1'
_space_group_IT_number 1
loop_
_space_group_symop_operation_xyz
'x,y,z'
loop_
_atom_site_label
_atom_site_type_symbol
_atom_site_fract_x
_atom_site_fract_y
_atom_site_fract_z
_atom_site_occupancy
Co1 Co 0.1086 0.2836 0.3062 1
Co2 Co 0.2836 0.1086 0.8062 1
Co3 Co 0.7164 0.8914 0.1938 1
Co4 Co 0.8914 0.7164 0.6938 1
Rh1 Rh 0.4103 0.5897 0.7500 1
Rh2 Rh 0.5897 0.4103 0.2500 1
Cl1 Cl 0.0558 0.2119 0.6128 1
Cl2 Cl 0.1360 0.6256 0.8649 1
Cl3 Cl 0.2119 0.0558 0.1128 1
Cl4 Cl 0.3117 0.4660 0.3843 1
Cl5 Cl 0.3744 0.8640 0.6351 1
Cl6 Cl 0.4660 0.3117 0.8843 1
Cl7 Cl 0.5340 0.6883 0.1157 1
Cl8 Cl 0.6256 0.1360 0.3649 1
Cl9 Cl 0.6883 0.5340 0.6157 1
Cl10 Cl 0.7881 0.9442 0.8872 1
Cl11 Cl 0.8640 0.3744 0.1351 1
Cl12 Cl 0.9442 0.7881 0.3872 1
```

Principal peaks in the range 2θ from 5° to 70°, in order of rising 2θ:
11.17°, I 58
16.51°, I 40
16.71°, I 74
24.24°, I 100
24.92°, I 44
28.02°, I 97
28.92°, I 55
33.83°, I 31
35.10°, I 34
49.25°, I 63
50.83°, I 55
51.03°, I 41

---

Starting from the PBE geometry in Alexandria, the powder XRD pattern of PuAg2S4 was calculated for Cu Kα, 1.54184 Å.
Kinematic intensities with the Lorentz-polarization factor, no thermal factor.

Crystal structure
```
data_PuAg2S4
_cell_length_a 7.1775
_cell_length_b 7.1775
_cell_length_c 7.1775
_cell_angle_alpha 105.34
_cell_angle_beta 105.34
_cell_angle_gamma 118.10
_space_group_name_H-M_alt 'P 1'
_space_group_IT_number 1
loop_
_space_group_symop_operation_xyz
'x,y,z'
loop_
_atom_site_label
_atom_site_type_symbol
_atom_site_fract_x
_atom_site_fract_y
_atom_site_fract_z
_atom_site_occupancy
Pu1 Pu 0.0000 0.0000 0.0000 1
Pu2 Pu 0.7500 0.2500 0.5000 1
Ag1 Ag 0.1885 0.1250 0.5635 1
Ag2 Ag 0.3750 0.8115 0.9365 1
Ag3 Ag 0.5615 0.6250 0.4365 1
Ag4 Ag 0.8750 0.4385 0.0635 1
S1 S 0.0362 0.7677 0.6618 1
S2 S 0.1058 0.3744 0.3382 1
S3 S 0.1244 0.3558 0.8382 1
S4 S 0.2323 0.8942 0.2686 1
S5 S 0.5177 0.2862 0.1618 1
S6 S 0.6256 0.9638 0.7314 1
S7 S 0.6442 0.4823 0.7686 1
S8 S 0.7138 0.8756 0.2314 1
```

Principal peaks in the range 2θ from 5° to 70°, in order of rising 2θ:
15.74°, I 69
25.87°, I 100
28.19°, I 94
29.01°, I 49
33.17°, I 93
38.00°, I 42
40.89°, I 85
41.49°, I 34
50.92°, I 23
53.15°, I 29
53.96°, I 36
54.12°, I 46

---

Starting from the PBE geometry in Alexandria, the powder XRD pattern of CaTb3Ho6 was calculated for Cu Kα, 1.54184 Å.
Kinematic intensities with the Lorentz-polarization factor, no thermal factor.

Crystal structure
```
data_CaTb3Ho6
_cell_length_a 6.6116
_cell_length_b 6.6116
_cell_length_c 9.5592
_cell_angle_alpha 110.23
_cell_angle_beta 110.23
_cell_angle_gamma 59.77
_space_group_name_H-M_alt 'P 1'
_space_group_IT_number 1
loop_
_space_group_symop_operation_xyz
'x,y,z'
loop_
_atom_site_label
_atom_site_type_symbol
_atom_site_fract_x
_atom_site_fract_y
_atom_site_fract_z
_atom_site_occupancy
Ca1 Ca 0.0000 0.0000 0.0000 1
Tb1 Tb 0.0674 0.0674 0.6914 1
Tb2 Tb 0.5000 0.5000 0.5000 1
Tb3 Tb 0.9326 0.9326 0.3086 1
Ho1 Ho 0.0661 0.5583 0.6901 1
Ho2 Ho 0.3588 0.3588 0.0765 1
Ho3 Ho 0.4417 0.9339 0.3099 1
Ho4 Ho 0.5583 0.0661 0.6901 1
Ho5 Ho 0.6412 0.6412 0.9235 1
Ho6 Ho 0.9339 0.4417 0.3099 1
```

Principal peaks in the range 2θ from 5° to 70°, in order of rising 2θ:
28.42°, I 70
28.90°, I 20
30.59°, I 22
31.39°, I 100
31.51°, I 93
32.03°, I 59
33.99°, I 60
48.55°, I 20
52.19°, I 19
55.60°, I 32
58.82°, I 26
65.45°, I 23